# BaCa2Np2O7
Calculated X-ray powder pattern, copper Kα. Input: the GGA-PBE geometry in Alexandria.
Peak positions follow from Bragg's law for the DFT cell and can differ from measured ones.

Structural model:
Lattice parameters (Å, degrees): 10.164 10.164 10.164 154.25 36.73 154.25
Fractional positions:
Ba 0.000 0.000 0.000
Ca 0.253 0.503 0.750
Ca 0.753 0.503 0.250
Np 0.391 0.003 0.388
Np 0.614 0.003 0.612
O 0.118 0.503 0.615
O 0.275 0.003 0.272
O 0.388 0.503 0.885
O 0.506 0.006 0.500
O 0.618 0.503 0.115
O 0.731 0.003 0.728
O 0.888 0.503 0.385

The 6 most intense peaks (10 to 80 degrees two-theta), by angle:
| 2theta | I/Imax |
| --- | --- |
| 20.14 | 58.3 |
| 24.03 | 87.0 |
| 27.86 | 54.6 |
| 30.43 | 100.0 |
| 39.81 | 55.7 |
| 50.92 | 50.1 |